The following is a theoretical X-ray diffraction stick pattern of CdSnHg. It was derived from a crystal structure in Alexandria, relaxed with GGA-PBE, using λ = 1.5418 Å (Cu Kα).
Intensities are scaled so that the largest is 100.

Main lines, sorted by position (2θ = 15–90°):
| 2θ (°) | d/Å | I (rel.) | h k l |
| --- | --- | --- | --- |
| 16.5 | 5.379 | 18.9 | 0 0 4 |
| 26.0 | 3.422 | 22.5 | 1 0 3 |
| 32.5 | 2.754 | 73.7 | 1 1 0 |
| 36.7 | 2.451 | 11.3 | 1 1 4 |
| 37.3 | 2.413 | 100.0 | 1 0 7 |
| 46.6 | 1.947 | 27.2 | 2 0 0 |
| 61.2 | 1.515 | 47.4 | 2 1 7 |
| 70.1 | 1.342 | 14.7 | 1 1 14 |
| 77.5 | 1.231 | 12.5 | 3 1 0 |
| 80.3 | 1.196 | 11.5 | 3 0 7 |

Atomic structure:
```
CdSnHg
1.0
3.894 0.000 0.000
0.000 3.894 0.000
0.000 0.000 21.516
Cd Sn Hg
4 4 4
Cartesian
0.000 0.000 4.665
0.000 0.000 16.851
1.947 1.947 6.093
1.947 1.947 15.423
0.000 0.000 1.551
0.000 0.000 19.965
1.947 1.947 9.207
1.947 1.947 12.309
0.000 0.000 7.789
0.000 0.000 13.727
1.947 1.947 2.969
1.947 1.947 18.548
```

The following is a theoretical X-ray diffraction stick pattern of ScPb2. It was derived from a crystal structure in Alexandria, relaxed with GGA-PBE, using λ = 1.5418 Å (Cu Kα).
Intensities are scaled so that the largest is 100.

Main lines, sorted by position (2θ = 15–90°):
| 2θ (°) | d/Å | I (rel.) | h k l |
| --- | --- | --- | --- |
| 22.5 | 3.958 | 42.0 | 0 1 1 |
| 26.5 | 3.361 | 28.5 | 1 0 1 |
| 32.8 | 2.732 | 96.0 | 0 1 3 |
| 32.9 | 2.723 | 100.0 | 1 1 0 |
| 35.8 | 2.511 | 76.3 | 1 0 3 |
| 42.4 | 2.130 | 25.1 | 0 2 0 |
| 47.7 | 1.907 | 24.0 | 1 1 4 |
| 56.7 | 1.624 | 41.0 | 1 2 3 |
| 62.3 | 1.490 | 26.5 | 1 1 6 |
| 62.5 | 1.486 | 30.6 | 2 1 3 |

Atomic structure:
```
ScPb2
1.0
3.540 0.000 0.000
0.000 4.261 0.000
0.000 0.000 10.683
Sc Pb
2 4
Cartesian
0.000 0.000 0.000
1.770 2.130 5.342
0.000 0.000 3.694
0.000 0.000 6.990
1.770 2.130 1.648
1.770 2.130 9.035
```